Structure and calculated PXRD pattern of Ba5InAg2 (a DFT-relaxed cell (GGA-PBE, Alexandria); Cu Ka).
Peak positions follow from Bragg's law for the DFT cell and can differ from measured ones.

Crystal structure
```
data_Ba5InAg2
_cell_length_a 9.1368
_cell_length_b 9.1368
_cell_length_c 16.4406
_cell_angle_alpha 90.00
_cell_angle_beta 90.00
_cell_angle_gamma 90.00
_symmetry_space_group_name_H-M 'I 4/m c m'
_symmetry_Int_Tables_number 140
_symmetry_space_group_name_Hall '-I 4 2c'
loop_
_atom_site_label
_atom_site_type_symbol
_atom_site_fract_x
_atom_site_fract_y
_atom_site_fract_z
Ba1 Ba 0.0000 0.0000 0.0000
Ba2 Ba 0.1720 0.3280 0.1423
In1 In 0.0000 0.0000 0.2500
Ag1 Ag 0.1160 0.3840 0.5000
```

Top 6 peaks for 10 to 80 degrees two-theta, in order of rising 2θ:
2theta  Rel. int.  hkl
27.2  100  2 1 3
27.6  17  2 2 0
29.2  50  2 0 4
31.0  51  3 1 0
44.1  22  0 0 8
47.7  18  3 3 4